Simulated powder diffraction line list of Cs4H4SeS3O16 for a wavelength of 1.5418 Å, from a cell relaxed with PBE.

Principal peaks in the range 2θ = 10–90°, in order of rising 2θ:
| Position (°2θ) | intensity |
| --- | --- |
| 23.53 | 48 |
| 23.80 | 42 |
| 24.32 | 100 |
| 27.75 | 39 |
| 31.28 | 44 |
| 36.73 | 21 |

Crystal structure
Cell: 7.8811 7.9694 8.3938 Å, 89.92 89.85 71.57°
Positions (direct):
Cs  0.0000  0.0000  0.0000
Cs  0.0891  0.4206  0.4959
Cs  0.4980  0.9991  0.7471
Cs  0.5896  0.4194  0.2459
H  0.2431  0.8450  0.3392
H  0.3342  0.5861  0.9164
H  0.7423  0.8441  0.4066
H  0.8496  0.5814  0.8350
Se  0.5776  0.4552  0.7500
S  0.0103  0.9647  0.4952
S  0.0773  0.4577  0.9954
S  0.5102  0.9639  0.2512
O  0.0979  0.0185  0.6303
O  0.1457  0.3184  0.8763
O  0.1554  0.8038  0.4059
O  0.2120  0.5415  0.0468
O  0.3766  0.8789  0.2020
O  0.4173  0.6330  0.8470
O  0.4413  0.1047  0.3694
O  0.4793  0.3943  0.5978
O  0.5986  0.0172  0.1158
O  0.6552  0.8031  0.3403
O  0.6561  0.2970  0.8829
O  0.7266  0.5530  0.6936
O  0.8760  0.8800  0.5450
O  0.9335  0.6201  0.9088
O  0.9418  0.1053  0.3770
O  0.9900  0.4034  0.1310

Simulated powder diffraction line list of K3PO4 for a wavelength of 1.5418 Å, from a cell relaxed with PBE.

Principal peaks in the range 2θ = 10–90°, in order of rising 2θ:
| Position (°2θ) | intensity |
| --- | --- |
| 18.28 | 13 |
| 30.70 | 100 |
| 31.47 | 17 |
| 34.91 | 13 |
| 38.21 | 13 |
| 44.09 | 13 |

Crystal structure
Cell: 11.3710 8.2156 6.0128 Å, 90.00 90.00 90.00°
Positions (direct):
K  0.0705  0.2500  0.1388
K  0.1439  0.0089  0.6950
K  0.1439  0.4911  0.6950
K  0.3561  0.5089  0.1950
K  0.3561  0.9911  0.1950
K  0.4295  0.7500  0.6388
K  0.5705  0.2500  0.3612
K  0.6439  0.0089  0.8050
K  0.6439  0.4911  0.8050
K  0.8561  0.5089  0.3050
K  0.8561  0.9911  0.3050
K  0.9295  0.7500  0.8612
P  0.1158  0.7500  0.2817
P  0.3842  0.2500  0.7817
P  0.6158  0.7500  0.2183
P  0.8842  0.2500  0.7183
O  0.0090  0.7500  0.4477
O  0.1108  0.5938  0.1337
O  0.1108  0.9062  0.1337
O  0.2321  0.7500  0.4217
O  0.2679  0.2500  0.9217
O  0.3892  0.0938  0.6337
O  0.3892  0.4062  0.6337
O  0.4910  0.2500  0.9477
O  0.5090  0.7500  0.0523
O  0.6108  0.5938  0.3663
O  0.6108  0.9062  0.3663
O  0.7321  0.7500  0.0783
O  0.7679  0.2500  0.5783
O  0.8892  0.0938  0.8663
O  0.8892  0.4062  0.8663
O  0.9910  0.2500  0.5523

Simulated powder diffraction line list of LiSm3BiRu4O14 for a wavelength of 1.5418 Å, from a cell relaxed with PBE.

Principal peaks in the range 2θ = 10–90°, in order of rising 2θ:
| Position (°2θ) | intensity |
| --- | --- |
| 29.56 | 100 |
| 29.81 | 33 |
| 34.34 | 44 |
| 49.18 | 31 |
| 49.51 | 31 |
| 58.58 | 29 |

Crystal structure
Cell: 7.3640 7.3640 7.3640 Å, 60.42 60.42 60.42°
Positions (direct):
Li  0.0000  0.0000  0.0000
Sm  0.3764  0.3764  0.8740
Sm  0.3764  0.8740  0.3764
Sm  0.8740  0.3764  0.3764
Bi  0.3756  0.3756  0.3756
Ru  0.3908  0.8701  0.8701
Ru  0.8694  0.8694  0.8694
Ru  0.8701  0.3908  0.8701
Ru  0.8701  0.8701  0.3908
O  0.2061  0.2061  0.7928
O  0.2061  0.7928  0.2061
O  0.2088  0.7913  0.7913
O  0.2479  0.2479  0.2479
O  0.5020  0.5020  0.5020
O  0.5455  0.9550  0.9550
O  0.5477  0.5477  0.9521
O  0.5477  0.9521  0.5477
O  0.7913  0.2088  0.7913
O  0.7913  0.7913  0.2088
O  0.7928  0.2061  0.2061
O  0.9521  0.5477  0.5477
O  0.9550  0.5455  0.9550
O  0.9550  0.9550  0.5455